[1]
Computed powder XRD pattern
Compound: Ba3YIr2O9
Radiation: Cu Ka
Structure: DFT lattice parameters and positions (PBE)

Structural model:
a b c (Å): 5.906 10.212 14.652
angles (deg): 90.00 90.00 90.00
Space group Cmcm (No. 63)
Symmetry-distinct sites (fractional):
Ba (0.000, 0.000, 0.250)
Ba (0.000, 0.333, 0.092)
Y (0.000, 0.000, 0.000)
Ir (0.000, 0.334, 0.665)
O (0.000, 0.179, 0.584)
O (0.000, 0.492, 0.750)
O (0.236, 0.414, 0.588)
O (0.237, 0.252, 0.750)

Largest 12 diffraction maxima, low angle first, 10 to 80 degrees two-theta:
(0 2 1), 2θ = 18.39°, 4.825 Å, rel. 32
(1 1 3), 2θ = 25.22°, 3.531 Å, rel. 16
(1 1 4), 2θ = 30.01°, 2.977 Å, rel. 48
(2 0 0), 2θ = 30.29°, 2.950 Å, rel. 100
(0 2 5), 2θ = 35.31°, 2.542 Å, rel. 22
(2 2 4), 2θ = 43.17°, 2.096 Å, rel. 27
(1 1 7), 2θ = 46.91°, 1.937 Å, rel. 16
(0 4 5), 2θ = 47.19°, 1.926 Å, rel. 13
(1 5 4), 2θ = 53.64°, 1.709 Å, rel. 18
(3 3 0), 2θ = 53.82°, 1.703 Å, rel. 20
(4 0 0), 2θ = 63.01°, 1.475 Å, rel. 18
(3 1 7), 2θ = 65.79°, 1.419 Å, rel. 13

[2]
Computed powder XRD pattern
Compound: CdCoSnW
Radiation: Cu Ka
Structure: DFT lattice parameters and positions (PBE)

Structural model:
a b c (Å): 6.477 6.477 6.477
angles (deg): 90.00 90.00 90.00
Space group F-43m (No. 216)
Symmetry-distinct sites (fractional):
Cd (0.000, 0.000, 0.000)
Co (0.250, 0.250, 0.750)
Sn (0.000, 0.000, 0.500)
W (0.250, 0.250, 0.250)

Largest 7 diffraction maxima, low angle first, 10 to 80 degrees two-theta:
(1 1 1), 2θ = 23.79°, 3.739 Å, rel. 15
(2 2 0), 2θ = 39.35°, 2.290 Å, rel. 100
(3 1 1), 2θ = 46.50°, 1.953 Å, rel. 8
(4 0 0), 2θ = 56.86°, 1.619 Å, rel. 17
(3 3 1), 2θ = 62.51°, 1.486 Å, rel. 3
(4 2 2), 2θ = 71.34°, 1.322 Å, rel. 34
(5 1 1), 2θ = 76.41°, 1.246 Å, rel. 3

[3]
Computed powder XRD pattern
Compound: Lu3ScCd2C2
Radiation: Cu Ka
Structure: DFT lattice parameters and positions (PBE)

Structural model:
a b c (Å): 3.4427 3.4427 15.9848
angles (deg): 90.00 90.00 120.00
Space group P3m1 (No. 156)
Symmetry-distinct sites (fractional):
Lu (0.0000, 0.0000, 0.0000)
Lu (0.0000, 0.0000, 0.3383)
Lu (0.6667, 0.3333, 0.8347)
Sc (0.6667, 0.3333, 0.4963)
Cd (0.0000, 0.0000, 0.6624)
Cd (0.6667, 0.3333, 0.1693)
C (0.3333, 0.6667, 0.4221)
C (0.3333, 0.6667, 0.9170)

Largest 12 diffraction maxima, low angle first, 10 to 80 degrees two-theta:
(0 0 2), 2θ = 11.07°, 7.992 Å, rel. 9
(1 0 0), 2θ = 29.97°, 2.981 Å, rel. 23
(0 1 1), 2θ = 30.50°, 2.931 Å, rel. 4
(0 1 2), 2θ = 32.04°, 2.793 Å, rel. 5
(0 0 6), 2θ = 33.64°, 2.664 Å, rel. 22
(0 1 3), 2θ = 34.47°, 2.602 Å, rel. 100
(1 0 6), 2θ = 45.67°, 1.987 Å, rel. 17
(1 1 0), 2θ = 53.21°, 1.721 Å, rel. 20
(0 1 9), 2θ = 60.69°, 1.526 Å, rel. 19
(1 1 6), 2θ = 64.45°, 1.446 Å, rel. 20
(2 0 3), 2θ = 64.96°, 1.436 Å, rel. 16
(0 2 6), 2θ = 72.68°, 1.301 Å, rel. 4

[4]
Computed powder XRD pattern
Compound: Fe2SnCl6
Radiation: Cu Ka
Structure: DFT lattice parameters and positions (PBE)

Structural model:
a b c (Å): 6.163 6.189 7.195
angles (deg): 98.12 101.49 119.81
Space group P1 (No. 1)
Symmetry-distinct sites (fractional):
Fe (0.000, 0.000, 0.000)
Fe (0.292, 0.604, 0.013)
Sn (0.153, 0.129, 0.514)
Cl (0.065, 0.712, 0.203)
Cl (0.191, 0.866, 0.788)
Cl (0.392, 0.375, 0.222)
Cl (0.550, 0.579, 0.801)
Cl (0.725, 0.029, 0.200)
Cl (0.897, 0.219, 0.774)

Largest 12 diffraction maxima, low angle first, 10 to 80 degrees two-theta:
(1 -1 0), 2θ = 16.60°, 5.340 Å, rel. 80
(0 1 0), 2θ = 17.22°, 5.151 Å, rel. 27
(1 0 0), 2θ = 17.46°, 5.078 Å, rel. 100
(0 1 -1), 2θ = 18.47°, 4.804 Å, rel. 46
(0 1 1), 2θ = 24.50°, 3.633 Å, rel. 28
(1 0 -2), 2θ = 26.70°, 3.339 Å, rel. 28
(1 1 0), 2θ = 30.72°, 2.910 Å, rel. 34
(-2 1 2), 2θ = 35.56°, 2.525 Å, rel. 72
(1 -2 2), 2θ = 36.59°, 2.456 Å, rel. 72
(1 1 1), 2θ = 37.54°, 2.396 Å, rel. 58
(0 3 -1), 2θ = 51.05°, 1.789 Å, rel. 25
(3 -3 0), 2θ = 51.35°, 1.779 Å, rel. 58

[5]
Computed powder XRD pattern
Compound: Cs2K4Tm2O5
Radiation: Cu Ka
Structure: DFT lattice parameters and positions (PBE)

Structural model:
a b c (Å): 7.437 12.110 7.040
angles (deg): 90.00 91.60 90.00
Space group C2/m (No. 12)
Symmetry-distinct sites (fractional):
Cs (0.138, 0.000, 0.273)
K (0.000, 0.248, 0.000)
K (0.000, 0.267, 0.500)
Tm (0.150, 0.500, 0.247)
O (0.000, 0.500, 0.500)
O (0.196, 0.142, 0.744)

Largest 12 diffraction maxima, low angle first, 10 to 80 degrees two-theta:
(0 2 0), 2θ = 14.63°, 6.055 Å, rel. 92
(0 0 2), 2θ = 25.31°, 3.519 Å, rel. 31
(2 0 -1), 2θ = 26.81°, 3.325 Å, rel. 33
(2 0 1), 2θ = 27.45°, 3.250 Å, rel. 33
(0 2 2), 2θ = 29.36°, 3.042 Å, rel. 100
(0 4 0), 2θ = 29.51°, 3.027 Å, rel. 48
(2 2 -1), 2θ = 30.67°, 2.915 Å, rel. 55
(2 2 1), 2θ = 31.24°, 2.863 Å, rel. 59
(2 4 -1), 2θ = 40.29°, 2.239 Å, rel. 30
(2 4 1), 2θ = 40.73°, 2.215 Å, rel. 35
(4 2 0), 2θ = 51.45°, 1.776 Å, rel. 21
(0 6 2), 2θ = 52.25°, 1.751 Å, rel. 21

[6]
Computed powder XRD pattern
Compound: YTaN2O
Radiation: Cu Ka
Structure: DFT lattice parameters and positions (PBE)

Structural model:
a b c (Å): 5.599 5.615 9.707
angles (deg): 90.08 106.49 119.87
Space group P1 (No. 1)
Symmetry-distinct sites (fractional):
Y (0.000, 0.000, 0.000)
Y (0.000, 0.496, 0.489)
Y (0.494, 0.194, 0.744)
Y (0.503, 0.701, 0.249)
Ta (0.243, 0.084, 0.361)
Ta (0.264, 0.593, 0.875)
Ta (0.737, 0.330, 0.122)
Ta (0.738, 0.852, 0.630)
N (0.073, 0.279, 0.219)
N (0.439, 0.456, 0.029)
N (0.447, 0.946, 0.522)
N (0.501, 0.614, 0.743)
N (0.505, 0.122, 0.246)
N (0.552, 0.012, 0.958)
N (0.940, 0.707, 0.270)
N (0.942, 0.192, 0.777)
O (0.026, 0.107, 0.501)
O (0.065, 0.753, 0.701)
O (0.587, 0.521, 0.462)
O (0.985, 0.592, 0.980)

Largest 12 diffraction maxima, low angle first, 10 to 80 degrees two-theta:
(0 1 1), 2θ = 22.37°, 3.975 Å, rel. 19
(1 0 -2), 2θ = 22.48°, 3.956 Å, rel. 8
(1 1 -1), 2θ = 31.86°, 2.809 Å, rel. 100
(-2 1 1), 2θ = 31.96°, 2.801 Å, rel. 51
(0 2 2), 2θ = 45.59°, 1.990 Å, rel. 12
(2 -2 2), 2θ = 45.71°, 1.985 Å, rel. 12
(2 0 -4), 2θ = 45.88°, 1.978 Å, rel. 11
(0 3 -1), 2θ = 56.72°, 1.623 Å, rel. 20
(1 -3 3), 2θ = 56.82°, 1.620 Å, rel. 21
(3 0 -2), 2θ = 56.91°, 1.618 Å, rel. 17
(2 2 -2), 2θ = 66.60°, 1.404 Å, rel. 6
(0 2 -6), 2θ = 66.73°, 1.402 Å, rel. 6